No. 1
Diffraction record for LiPuSCl. The PXRD pattern is simulated, not measured: it uses a structure optimized by DFT (GGA-PBE) and Cu Kα X-rays.
Neutral-atom scattering factors, no anomalous dispersion.

Largest 10 diffraction maxima, sorted by position, 2θ = 10–90°:
13.26°, I = 100.0; 25.86°, I = 42.0; 27.28°, I = 19.1; 28.10°, I = 21.9; 30.19°, I = 56.3; 35.80°, I = 24.0; 39.15°, I = 20.7; 45.42°, I = 25.8; 46.63°, I = 17.5; 47.53°, I = 26.4

```
LiPuSCl
1.0
1.997 1.153 13.356
-1.997 1.153 13.356
0.000 -2.306 13.356
Li Pu S Cl
2 2 2 2
Cartesian
0.000 0.000 7.515
0.000 0.000 32.552
0.000 0.000 16.685
0.000 0.000 23.382
0.000 0.000 5.017
0.000 0.000 35.051
0.000 0.000 11.645
0.000 0.000 28.423
```

***

No. 2
Diffraction record for LiTbPuCl6. The PXRD pattern is simulated, not measured: it uses a structure optimized by DFT (GGA-PBE) and Cu Kα X-rays.
Neutral-atom scattering factors, no anomalous dispersion.

Largest 10 diffraction maxima, sorted by position, 2θ = 10–90°:
15.22°, I = 18.7; 16.78°, I = 27.1; 20.78°, I = 100.0; 26.52°, I = 22.6; 30.14°, I = 16.9; 33.93°, I = 29.0; 39.21°, I = 50.0; 43.57°, I = 30.1; 46.81°, I = 21.2; 59.06°, I = 12.7

```
LiTbPuCl6
1.0
6.723 0.000 0.000
-3.361 5.822 0.000
0.000 0.000 12.590
Li Tb Pu Cl
2 2 2 12
Cartesian
0.000 3.881 3.147
3.361 1.941 9.442
0.000 3.881 9.442
3.361 1.941 3.147
0.000 0.000 0.000
0.000 0.000 6.295
-1.140 2.054 1.663
-2.153 3.808 4.632
1.140 2.054 4.632
-1.013 5.782 1.663
2.349 0.040 7.958
1.209 2.014 10.927
2.153 3.808 1.663
1.013 5.782 4.632
4.374 0.040 10.927
2.222 3.768 7.958
5.514 2.014 7.958
4.501 3.768 10.927
```

***

No. 3
Diffraction record for LiPuTeCl. The PXRD pattern is simulated, not measured: it uses a structure optimized by DFT (GGA-PBE) and Cu Kα X-rays.
Neutral-atom scattering factors, no anomalous dispersion.

Largest 10 diffraction maxima, sorted by position, 2θ = 10–90°:
14.60°, I = 40.7; 24.83°, I = 100.0; 30.17°, I = 22.1; 33.67°, I = 53.3; 40.03°, I = 46.2; 41.75°, I = 27.6; 42.82°, I = 18.0; 47.68°, I = 17.7; 53.27°, I = 18.8; 68.67°, I = 15.7

```
LiPuTeCl
1.0
2.253 1.301 12.133
-2.253 1.301 12.133
0.000 -2.601 12.133
Li Pu Te Cl
2 2 2 2
Cartesian
0.000 0.000 7.021
0.000 0.000 29.378
0.000 0.000 14.402
0.000 0.000 21.997
0.000 0.000 4.183
0.000 0.000 32.216
0.000 0.000 11.066
0.000 0.000 25.333
```

***

No. 4
Diffraction record for RbLi2Cl3. The PXRD pattern is simulated, not measured: it uses a structure optimized by DFT (GGA-PBE) and Cu Kα X-rays.
Neutral-atom scattering factors, no anomalous dispersion.

Largest 10 diffraction maxima, sorted by position, 2θ = 10–90°:
19.62°, I = 21.1; 23.98°, I = 12.6; 24.19°, I = 21.0; 28.69°, I = 100.0; 28.87°, I = 27.0; 31.35°, I = 26.4; 33.33°, I = 20.9; 47.68°, I = 12.5; 54.18°, I = 14.1; 57.03°, I = 12.5

```
RbLi2Cl3
1.0
4.727 -5.990 0.000
4.727 5.990 0.000
0.000 0.000 5.708
Rb Li Cl
2 4 6
Cartesian
4.727 3.733 4.281
4.727 -3.733 1.427
3.203 0.000 0.000
3.203 0.000 2.854
6.251 0.000 0.000
6.251 0.000 2.854
2.012 1.360 4.281
2.012 -1.360 1.427
4.727 1.183 1.427
4.727 -1.183 4.281
7.442 1.360 4.281
7.442 -1.360 1.427
```

***

No. 5
Diffraction record for RbLiSc2Cl8. The PXRD pattern is simulated, not measured: it uses a structure optimized by DFT (GGA-PBE) and Cu Kα X-rays.
Neutral-atom scattering factors, no anomalous dispersion.

Largest 10 diffraction maxima, sorted by position, 2θ = 10–90°:
17.81°, I = 100.0; 20.36°, I = 29.5; 26.50°, I = 24.2; 28.41°, I = 28.4; 28.88°, I = 28.1; 30.56°, I = 48.3; 37.15°, I = 61.9; 41.40°, I = 21.0; 46.03°, I = 20.6; 46.82°, I = 31.8

```
RbLiSc2Cl8
1.0
6.500 0.000 0.000
0.889 6.687 0.000
0.004 0.006 7.887
Rb Li Sc Cl
1 1 2 8
Cartesian
0.000 0.000 0.000
0.002 0.003 3.944
3.696 3.345 2.049
3.697 3.347 5.838
2.453 5.440 5.622
2.457 5.441 2.263
2.208 2.456 3.943
2.300 2.531 0.002
5.092 4.161 7.885
5.184 4.237 3.944
4.935 1.252 5.624
4.940 1.252 2.265
```

***

No. 6
Diffraction record for Rb2LiUCl6. The PXRD pattern is simulated, not measured: it uses a structure optimized by DFT (GGA-PBE) and Cu Kα X-rays.
Neutral-atom scattering factors, no anomalous dispersion.

Largest 10 diffraction maxima, sorted by position, 2θ = 10–90°:
13.84°, I = 100.0; 16.48°, I = 37.4; 21.16°, I = 78.3; 23.79°, I = 83.0; 27.59°, I = 39.7; 28.94°, I = 37.0; 32.05°, I = 97.2; 37.80°, I = 32.8; 48.69°, I = 40.7; 48.97°, I = 42.9

```
Rb2LiUCl6
1.0
3.740 2.159 12.868
-3.740 2.159 12.868
0.000 -4.319 12.868
Rb Li U Cl
4 2 2 12
Cartesian
0.000 0.000 5.235
0.000 0.000 11.412
0.000 0.000 27.192
0.000 0.000 33.369
0.000 0.000 0.000
0.000 0.000 19.302
0.000 0.000 15.955
0.000 0.000 22.649
-1.821 -1.052 17.731
0.000 -2.217 14.371
-1.920 1.108 14.371
-1.920 -1.108 24.233
0.000 -2.103 20.872
-1.821 1.052 20.872
1.821 -1.052 17.731
0.000 2.103 17.731
1.920 1.108 14.371
1.920 -1.108 24.233
0.000 2.217 24.233
1.821 1.052 20.872
```

***

No. 7
Diffraction record for LiReCl6. The PXRD pattern is simulated, not measured: it uses a structure optimized by DFT (GGA-PBE) and Cu Kα X-rays.
Neutral-atom scattering factors, no anomalous dispersion.

Largest 10 diffraction maxima, sorted by position, 2θ = 10–90°:
15.78°, I = 38.3; 17.12°, I = 100.0; 19.41°, I = 79.4; 26.76°, I = 27.0; 31.21°, I = 15.1; 32.65°, I = 64.8; 43.20°, I = 40.0; 45.38°, I = 14.5; 50.29°, I = 21.0; 57.26°, I = 17.8

```
LiReCl6
1.0
3.143 1.814 5.617
-3.143 1.814 5.617
0.000 -3.629 5.617
Li Re Cl
1 1 6
Cartesian
0.000 0.000 0.000
0.000 0.000 8.426
-0.937 -1.665 7.088
-1.910 -0.022 9.764
-0.974 1.644 7.088
0.974 -1.644 9.764
1.910 0.022 7.088
0.937 1.665 9.764
```

***

No. 8
Diffraction record for LiRhCl6. The PXRD pattern is simulated, not measured: it uses a structure optimized by DFT (GGA-PBE) and Cu Kα X-rays.
Neutral-atom scattering factors, no anomalous dispersion.

Largest 10 diffraction maxima, sorted by position, 2θ = 10–90°:
15.11°, I = 69.9; 15.89°, I = 79.5; 17.49°, I = 73.2; 18.85°, I = 85.6; 22.00°, I = 58.3; 34.56°, I = 58.8; 35.35°, I = 100.0; 46.77°, I = 26.9; 49.65°, I = 25.3; 50.88°, I = 28.5

```
LiRhCl6
1.0
3.080 -5.578 0.000
3.080 5.578 0.000
-2.417 0.000 5.862
Li Rh Cl
1 1 6
Cartesian
0.000 0.000 0.000
1.871 0.000 2.931
1.081 1.642 1.463
-0.155 0.000 4.024
1.081 -1.642 1.463
2.662 1.642 4.399
3.897 0.000 1.838
2.662 -1.642 4.399
```